(1)
Starting from a cell relaxed with PBE, the powder diffraction line list of Te2Mo3WSe2S4 was simulated for Cu Kα.
Peak positions follow from Bragg's law for the DFT cell and can differ from measured ones.

Largest 10 diffraction maxima, by angle, 2θ = 10–90°:
| 2θ (°) | I/Imax |
| --- | --- |
| 11.31 | 100.0 |
| 13.58 | 16.9 |
| 31.26 | 44.4 |
| 35.21 | 15.7 |
| 36.35 | 64.8 |
| 37.61 | 18.3 |
| 43.62 | 44.1 |
| 45.34 | 15.7 |
| 55.60 | 28.2 |
| 56.94 | 12.4 |

Atomic structure:
```
Te2Mo3WSe2S4
1.0
3.3070 0.0000 0.0000
-1.6535 2.8640 0.0000
0.0000 0.0000 39.1271
Te Mo W Se S
2 3 1 2 4
Direct
0.0000 0.0000 0.0000
0.0000 0.0000 0.0978
0.0000 0.0000 0.8614
0.3333 0.6667 0.0489
0.3333 0.6667 0.4255
0.0000 0.0000 0.2388
0.3333 0.6667 0.1957
0.3333 0.6667 0.2819
0.0000 0.0000 0.3864
0.0000 0.0000 0.4645
0.3333 0.6667 0.8224
0.3333 0.6667 0.9004
```


(2)
Starting from a cell relaxed with PBE, the powder diffraction line list of TeMoWSe2S was simulated for Cu Kα.
Peak positions follow from Bragg's law for the DFT cell and can differ from measured ones.

Largest 10 diffraction maxima, by angle, 2θ = 10–90°:
| 2θ (°) | I/Imax |
| --- | --- |
| 11.62 | 100.0 |
| 13.95 | 16.7 |
| 30.92 | 47.6 |
| 35.11 | 13.8 |
| 36.32 | 81.2 |
| 37.65 | 16.9 |
| 43.97 | 47.7 |
| 45.77 | 17.0 |
| 54.95 | 31.9 |
| 77.69 | 13.4 |

Atomic structure:
```
TeMoWSe2S
1.0
3.3427 0.0000 0.0000
-1.6713 2.8949 0.0000
0.0000 0.0000 38.0872
Te Mo W Se S
2 2 2 4 2
Direct
0.0000 0.0000 0.0000
0.0000 0.0000 0.0996
0.0000 0.0000 0.8620
0.3333 0.6667 0.0498
0.0000 0.0000 0.2378
0.3333 0.6667 0.4256
0.0000 0.0000 0.3816
0.0000 0.0000 0.4695
0.3333 0.6667 0.1938
0.3333 0.6667 0.2817
0.3333 0.6667 0.8221
0.3333 0.6667 0.9019
```


(3)
Starting from a cell relaxed with PBE, the powder diffraction line list of Te2MoW3Se4S2 was simulated for Cu Kα.
Peak positions follow from Bragg's law for the DFT cell and can differ from measured ones.

Largest 10 diffraction maxima, by angle, 2θ = 10–90°:
| 2θ (°) | I/Imax |
| --- | --- |
| 11.61 | 100.0 |
| 13.94 | 15.3 |
| 30.89 | 35.8 |
| 33.08 | 14.7 |
| 36.30 | 78.4 |
| 43.95 | 43.7 |
| 45.74 | 12.4 |
| 54.91 | 26.5 |
| 67.61 | 12.6 |
| 77.64 | 12.3 |

Atomic structure:
```
Te2MoW3Se4S2
1.0
3.3447 0.0000 0.0000
-1.6724 2.8966 0.0000
0.0000 0.0000 38.1073
Te Mo W Se S
2 1 3 4 2
Direct
0.0000 0.0000 0.0000
0.0000 0.0000 0.1001
0.0000 0.0000 0.8622
0.0000 0.0000 0.2380
0.6667 0.3333 0.0501
0.6667 0.3333 0.6744
0.0000 0.0000 0.6305
0.0000 0.0000 0.7183
0.6667 0.3333 0.1941
0.6667 0.3333 0.2819
0.6667 0.3333 0.8224
0.6667 0.3333 0.9021
```


(4)
Starting from a cell relaxed with PBE, the powder diffraction line list of Te2MoW3Se4S2 was simulated for Cu Kα.
Peak positions follow from Bragg's law for the DFT cell and can differ from measured ones.

Largest 10 diffraction maxima, by angle, 2θ = 10–90°:
| 2θ (°) | I/Imax |
| --- | --- |
| 11.42 | 100.0 |
| 13.71 | 16.4 |
| 30.94 | 39.1 |
| 33.06 | 13.6 |
| 36.18 | 71.8 |
| 43.61 | 43.4 |
| 45.36 | 12.8 |
| 55.00 | 23.9 |
| 67.62 | 11.7 |
| 77.03 | 11.4 |

Atomic structure:
```
Te2MoW3Se4S2
1.0
3.3393 0.0000 0.0000
-1.6697 2.8919 0.0000
0.0000 0.0000 38.7486
Te Mo W Se S
2 1 3 4 2
Direct
0.0000 0.0000 0.0000
0.0000 0.0000 0.0980
0.3333 0.6667 0.0490
0.0000 0.0000 0.2368
0.0000 0.0000 0.8611
0.3333 0.6667 0.4247
0.0000 0.0000 0.3814
0.0000 0.0000 0.4680
0.3333 0.6667 0.8178
0.3333 0.6667 0.9044
0.3333 0.6667 0.1975
0.3333 0.6667 0.2761
```


(5)
Starting from a cell relaxed with PBE, the powder diffraction line list of TeMoWSe2S was simulated for Cu Kα.
Peak positions follow from Bragg's law for the DFT cell and can differ from measured ones.

Largest 10 diffraction maxima, by angle, 2θ = 10–90°:
| 2θ (°) | I/Imax |
| --- | --- |
| 11.63 | 100.0 |
| 13.96 | 19.7 |
| 30.90 | 42.9 |
| 33.10 | 17.2 |
| 36.32 | 81.1 |
| 39.09 | 13.5 |
| 43.98 | 47.0 |
| 45.78 | 15.4 |
| 54.93 | 27.5 |
| 67.64 | 13.0 |

Atomic structure:
```
TeMoWSe2S
1.0
3.3437 0.0000 0.0000
-1.6718 2.8957 0.0000
0.0000 0.0000 38.0560
Te Mo W Se S
2 2 2 4 2
Direct
0.0000 0.0000 0.0000
0.0000 0.0000 0.1002
0.0000 0.0000 0.4864
0.0000 0.0000 0.8622
0.3333 0.6667 0.0501
0.3333 0.6667 0.6744
0.3333 0.6667 0.4427
0.3333 0.6667 0.5302
0.3333 0.6667 0.8184
0.3333 0.6667 0.9059
0.0000 0.0000 0.6343
0.0000 0.0000 0.7143
```


(6)
Starting from a cell relaxed with PBE, the powder diffraction line list of Te2Mo3WSe4S2 was simulated for Cu Kα.
Peak positions follow from Bragg's law for the DFT cell and can differ from measured ones.

Largest 10 diffraction maxima, by angle, 2θ = 10–90°:
| 2θ (°) | I/Imax |
| --- | --- |
| 11.08 | 100.0 |
| 13.30 | 11.9 |
| 30.92 | 40.6 |
| 32.91 | 12.3 |
| 35.86 | 63.1 |
| 37.08 | 13.0 |
| 42.93 | 50.2 |
| 44.60 | 15.3 |
| 54.95 | 27.5 |
| 75.78 | 11.5 |

Atomic structure:
```
Te2Mo3WSe4S2
1.0
3.3425 0.0000 0.0000
-1.6713 2.8947 0.0000
0.0000 0.0000 39.9295
Te Mo W Se S
2 3 1 4 2
Direct
0.0000 0.0000 0.0000
0.0000 0.0000 0.0950
0.0000 0.0000 0.8589
0.6667 0.3333 0.0475
0.6667 0.3333 0.6719
0.0000 0.0000 0.2366
0.6667 0.3333 0.1947
0.6667 0.3333 0.2785
0.6667 0.3333 0.8170
0.6667 0.3333 0.9006
0.0000 0.0000 0.6339
0.0000 0.0000 0.7099
```